Simulated PXRD pattern of LaNd2YTm5 for Cu Kα, from a PBE-relaxed structure.
Peak positions follow from Bragg's law for the DFT cell and can differ from measured ones.

Cell: 8.7287 8.7287 15.4077 Å, 90.00 90.00 90.00°
Space group I4/mcm (No. 140)
Asymmetric unit:
La: 0.0000 0.0000 0.2500 x4
Nd: 0.1167 0.3833 0.0000 x8
Y: 0.0000 0.5000 0.2500 x4
Tm: 0.0000 0.0000 0.0000 x4
Tm: 0.2102 0.2898 0.3636 x16

Main lines, by intensity (2θ from 10° to 80°):
hkl 2 0 4, 2θ = 30.96°, rel. 100
hkl 2 1 3, 2θ = 28.73°, rel. 51
hkl 2 2 0, 2θ = 28.93°, rel. 51
hkl 4 2 4, 2θ = 52.56°, rel. 21
hkl 4 1 1, 2θ = 43.12°, rel. 19
hkl 3 1 0, 2θ = 32.44°, rel. 19
hkl 3 2 1, 2θ = 37.61°, rel. 18
hkl 2 2 8, 2θ = 56.31°, rel. 13
hkl 2 1 5, 2θ = 37.17°, rel. 13
hkl 0 0 8, 2θ = 47.19°, rel. 12
hkl 4 1 3, 2θ = 46.39°, rel. 12
hkl 5 1 4, 2θ = 59.05°, rel. 10

=====

Simulated PXRD pattern of HoErO3 for Cu Kα, from a PBE-relaxed structure.
Peak positions follow from Bragg's law for the DFT cell and can differ from measured ones.

Cell: 5.9125 5.9125 3.0268 Å, 90.00 90.00 120.00°
Space group P-6m2 (No. 187)
Asymmetric unit:
Ho: 0.0000 0.0000 0.0000 x1
Er: 0.3333 0.6667 0.0000 x1
O: 0.1673 0.3346 0.5000 x3

Main lines, by intensity (2θ from 10° to 80°):
hkl 1 0 0, 2θ = 17.32°, rel. 100
hkl 1 1 0, 2θ = 30.23°, rel. 75
hkl 1 1 1, 2θ = 42.76°, rel. 72
hkl 1 0 1, 2θ = 34.42°, rel. 24
hkl 3 0 1, 2θ = 62.47°, rel. 23
hkl 2 0 1, 2θ = 46.46°, rel. 21
hkl 0 0 1, 2θ = 29.51°, rel. 21
hkl 3 0 0, 2θ = 53.70°, rel. 15
hkl 2 1 0, 2θ = 46.95°, rel. 15
hkl 1 1 2, 2θ = 69.82°, rel. 14
hkl 2 2 0, 2θ = 62.87°, rel. 13
hkl 2 1 1, 2θ = 56.43°, rel. 12